[1]
# ZrSn
Calculated X-ray diffraction stick pattern, λ = 1.5418 Å (Cu Kα). Input: a crystal structure in Alexandria, relaxed with PBE.

Peak list (10 most intense, 5° ≤ 2θ ≤ 70°, sorted by position)
d/Å	I/Imax
2.820	98
2.733	100
2.640	72
2.566	94
2.278	81
2.138	82
1.899	50
1.626	35
1.397	39
1.344	22

Structural model:
a b c (Å): 5.837 10.932 5.921
angles (deg): 90.00 90.00 90.00
Sites, in units of the cell vectors:
Zr1 0.099 0.124 0.106
Zr2 0.099 0.376 0.606
Zr3 0.401 0.624 0.106
Zr4 0.401 0.876 0.606
Zr5 0.599 0.124 0.394
Zr6 0.599 0.376 0.894
Zr7 0.901 0.624 0.394
Zr8 0.901 0.876 0.894
Sn1 0.112 0.109 0.607
Sn2 0.112 0.391 0.107
Sn3 0.388 0.609 0.607
Sn4 0.388 0.891 0.107
Sn5 0.612 0.109 0.893
Sn6 0.612 0.391 0.393
Sn7 0.888 0.609 0.893
Sn8 0.888 0.891 0.393

***

[2]
# Sc3MnIr4
Calculated X-ray diffraction stick pattern, λ = 1.5418 Å (Cu Kα). Input: a crystal structure in Alexandria, relaxed with PBE.

Peak list (10 most intense, 5° ≤ 2θ ≤ 70°, sorted by position)
d/Å	I/Imax
3.209	48
3.145	22
2.269	53
2.246	100
1.840	20
1.605	18
1.572	7
1.435	10
1.429	9
1.412	8

Structural model:
a b c (Å): 3.209 3.209 12.578
angles (deg): 90.00 90.00 90.00
Sites, in units of the cell vectors:
Sc1 0.000 0.000 0.000
Sc2 0.000 0.000 0.259
Sc3 0.000 0.000 0.741
Mn1 0.000 0.000 0.500
Ir1 0.500 0.500 0.128
Ir2 0.500 0.500 0.384
Ir3 0.500 0.500 0.616
Ir4 0.500 0.500 0.872